# 1
The following is a theoretical powder XRD pattern of Zr2CuTc. It was derived from a structure optimized by DFT (PBE), using a wavelength of 1.5418 Å.

The 6 most intense peaks (10° ≤ 2θ ≤ 90°), sorted by position:
2theta  I_rel
23.41  2
38.69  100
45.71  1
55.87  17
70.02  33
82.98  10

Atomic structure:
Cell: 6.5826 6.5826 6.5826 Å, 90.00 90.00 90.00°
Space group Fm-3m (No. 225)
One atom of each set of equivalent atoms:
Zr 0.2500 0.2500 0.2500 [8 per cell]
Cu 0.0000 0.0000 0.0000 [4 per cell]
Tc 0.0000 0.0000 0.5000 [4 per cell]

---

# 2
The following is a theoretical powder XRD pattern of Cu3Te. It was derived from a structure optimized by DFT (PBE), using a wavelength of 1.5418 Å.

The 12 most intense peaks (10° ≤ 2θ ≤ 90°), sorted by position:
2theta  I_rel
22.53  9
32.07  7
39.55  100
45.99  48
51.80  4
57.17  3
67.08  29
71.75  2
76.30  1
80.76  34
85.17  10
89.54  1

Atomic structure:
Cell: 3.9467 3.9467 3.9467 Å, 90.00 90.00 90.00°
Space group Pm-3m (No. 221)
One atom of each set of equivalent atoms:
Cu 0.0000 0.0000 0.5000 [3 per cell]
Te 0.5000 0.5000 0.5000 [1 per cell]

---

# 3
The following is a theoretical powder XRD pattern of Cu7Te4. It was derived from a structure optimized by DFT (PBE), using a wavelength of 1.5418 Å.

The 12 most intense peaks (10° ≤ 2θ ≤ 90°), sorted by position:
2theta  I_rel
25.48  59
26.09  27
27.03  39
32.38  59
34.28  49
35.01  100
41.58  36
42.05  71
42.83  33
46.61  92
46.72  23
48.32  33

Atomic structure:
Cell: 13.6581 7.5348 8.1388 Å, 90.00 90.01 90.00°
Space group Cm (No. 8)
One atom of each set of equivalent atoms:
Cu 0.0000 0.0000 0.0000 [2 per cell]
Cu 0.0113 0.0000 0.5215 [2 per cell]
Cu 0.0392 0.5000 0.4889 [2 per cell]
Cu 0.1134 0.2890 0.0118 [4 per cell]
Cu 0.1407 0.2247 0.3865 [4 per cell]
Cu 0.3080 0.3176 0.4944 [4 per cell]
Cu 0.3106 0.3032 0.9675 [4 per cell]
Cu 0.3464 0.0000 0.3958 [2 per cell]
Cu 0.3761 0.5000 0.7326 [2 per cell]
Cu 0.4025 0.0000 0.0306 [2 per cell]
Te 0.1920 0.5000 0.6920 [2 per cell]
Te 0.2075 0.0000 0.6061 [2 per cell]
Te 0.2108 0.0000 0.0859 [2 per cell]
Te 0.2192 0.5000 0.1986 [2 per cell]
Te 0.4579 0.2578 0.2935 [4 per cell]
Te 0.4717 0.2224 0.8036 [4 per cell]